# 1
This entry pairs a crystal structure of CsSe with its computed powder XRD pattern. Radiation: CuKα. Structure: a PBE-relaxed structure.

Peak list (9 most intense, 2θ = 5–70°, low angle first)
hkl 1 0 0, 4.358 Å, I = 66; hkl 1 1 0, 3.082 Å, I = 1000; hkl 1 1 1, 2.516 Å, I = 21; hkl 2 0 0, 2.179 Å, I = 186; hkl 2 1 0, 1.949 Å, I = 30; hkl 2 1 1, 1.779 Å, I = 395; hkl 2 2 0, 1.541 Å, I = 124; hkl 3 0 0, 1.453 Å, I = 15; hkl 3 1 0, 1.378 Å, I = 170

Cell and atoms:
a = 4.3582 Å, b = 4.3582 Å, c = 4.3582 Å
α = 90.00°, β = 90.00°, γ = 90.00°
Space group Pm-3m (No. 221)
One atom of each set of equivalent atoms:
Cs (0.0000, 0.0000, 0.0000) (multiplicity 1)
Se (0.5000, 0.5000, 0.5000) (multiplicity 1)

# 2
This entry pairs a crystal structure of U11Se20 with its computed powder XRD pattern. Radiation: CuKα. Structure: a PBE-relaxed structure.

Peak list (10 most intense, 2θ = 5–70°, low angle first)
hkl 1 2 1, 3.898 Å, I = 1000; hkl 3 1 0, 3.391 Å, I = 245; hkl 1 3 1, 3.025 Å, I = 191; hkl 1 2 2, 2.744 Å, I = 367; hkl 3 2 1, 2.718 Å, I = 235; hkl 4 1 1, 2.424 Å, I = 553; hkl 2 4 0, 2.398 Å, I = 423; hkl 3 1 2, 2.382 Å, I = 464; hkl 2 1 3, 2.023 Å, I = 391; hkl 2 5 1, 1.908 Å, I = 322

Cell and atoms:
a = 10.7225 Å, b = 10.7225 Å, c = 6.6936 Å
α = 90.00°, β = 90.00°, γ = 90.00°
Space group P4 (No. 75)
One atom of each set of equivalent atoms:
U (0.0000, 0.0000, 0.0000) (multiplicity 1)
U (0.0000, 0.0000, 0.4996) (multiplicity 1)
U (0.1583, 0.6517, 0.3895) (multiplicity 4)
U (0.1609, 0.3501, 0.8895) (multiplicity 4)
U (0.5000, 0.5000, 0.2755) (multiplicity 1)
Se (0.0000, 0.5000, 0.1390) (multiplicity 2)
Se (0.0000, 0.5000, 0.6406) (multiplicity 2)
Se (0.0873, 0.2091, 0.2571) (multiplicity 4)
Se (0.0876, 0.7906, 0.7584) (multiplicity 4)
Se (0.2904, 0.4119, 0.5163) (multiplicity 4)
Se (0.2904, 0.5888, 0.0237) (multiplicity 4)